Simulated X-ray diffraction stick pattern of LiLa2MnO5 for a wavelength of 1.5418 Å, from a crystal structure in Alexandria, relaxed with GGA+U.

Most intense lines, 10 to 80 degrees two-theta, low angle first:
2θ 15.23, I = 100.0; 2θ 18.30, I = 35.7; 2θ 29.12, I = 32.7; 2θ 30.26, I = 75.4; 2θ 30.74, I = 30.3; 2θ 33.02, I = 93.3; 2θ 37.08, I = 16.6; 2θ 42.85, I = 66.8; 2θ 44.59, I = 32.5; 2θ 56.12, I = 17.5; 2θ 57.64, I = 30.0; 2θ 64.52, I = 34.0

Structure:
```
data_LiLa2MnO5
_cell_length_a 6.8576
_cell_length_b 6.8576
_cell_length_c 5.8165
_cell_angle_alpha 90.00
_cell_angle_beta 90.00
_cell_angle_gamma 90.00
_space_group_name_H-M_alt 'P 4/m b m'
_space_group_IT_number 127
_space_group_name_Hall '-P 4 2ab'
loop_
_atom_site_label
_atom_site_type_symbol
_atom_site_fract_x
_atom_site_fract_y
_atom_site_fract_z
Li1 Li 0.0000 0.0000 0.0000
La1 La 0.1806 0.3194 0.5000
Mn1 Mn 0.0000 0.5000 0.0000
O1 O 0.0000 0.0000 0.5000
O2 O 0.1348 0.6348 0.2365
```